# 1
Starting from a cell relaxed with PBE, the powder XRD pattern of HoErC was calculated for Cu Kα X-rays.
Kinematic intensities with the Lorentz-polarization factor, no thermal factor.

Crystal structure
Lattice parameters (Å, degrees): 12.3107 3.5689 6.1769 90.00 99.67 90.00
Space group C2/m (No. 12)
Inequivalent atoms, fractional coordinates:
Ho  0.1105  0.0000  0.3702
Er  0.1094  0.5000  0.8700
C  0.0000  0.0000  0.0000
C  0.0000  0.5000  0.5000

Peak list (10 most intense, 2θ = 15–90°, in order of rising 2θ)
index  2θ/deg  I (rel.)
4 0 0  29.44  32
1 1 1  30.56  100
2 0 2  35.11  76
5 1 1  49.77  23
0 2 0  51.21  27
4 2 0  60.16  18
0 0 4  60.82  15
2 2 2  63.61  13
1 3 1  83.45  12
1 1 5  85.93  12


# 2
Starting from a cell relaxed with PBE, the powder XRD pattern of Ho3ErC was calculated for Cu Kα X-rays.
Kinematic intensities with the Lorentz-polarization factor, no thermal factor.

Crystal structure
Lattice parameters (Å, degrees): 5.0179 5.0179 5.0179 90.00 90.00 90.00
Space group Pm-3m (No. 221)
Inequivalent atoms, fractional coordinates:
Ho  0.0000  0.0000  0.5000
Er  0.5000  0.5000  0.5000
C  0.0000  0.0000  0.0000

Peak list (8 most intense, 2θ = 15–90°, in order of rising 2θ)
index  2θ/deg  I (rel.)
1 1 1  30.86  100
2 0 0  35.79  54
2 2 0  51.51  38
3 1 1  61.27  43
2 2 2  64.31  13
4 0 0  75.84  6
3 3 1  84.08  18
4 2 0  86.80  18